# HoTmO3
Computed X-ray powder pattern, CuKα. Input: a cell relaxed with PBE.

Most intense lines, 15 to 90 degrees two-theta, low angle first:
| Position (°2θ) | I/Imax |
| --- | --- |
| 21.48 | 261 |
| 28.78 | 1000 |
| 32.25 | 948 |
| 43.76 | 369 |
| 46.87 | 496 |
| 55.39 | 357 |
| 57.50 | 255 |
| 60.12 | 183 |

Crystal structure
```
HoTmO3
1.0
2.776 1.603 5.415
-2.776 1.603 5.415
0.000 -3.206 5.415
Ho Tm O
2 2 6
direct
0.146 0.146 0.146
0.854 0.854 0.854
0.352 0.352 0.352
0.648 0.648 0.648
0.046 0.458 0.745
0.255 0.542 0.954
0.458 0.745 0.046
0.542 0.954 0.255
0.745 0.046 0.458
0.954 0.255 0.542
```

=====

# Y4CdTe
Computed X-ray powder pattern, CuKα. Input: a cell relaxed with PBE.

Most intense lines, 15 to 90 degrees two-theta, low angle first:
| Position (°2θ) | I/Imax |
| --- | --- |
| 30.40 | 1000 |
| 31.38 | 213 |
| 31.65 | 396 |
| 33.31 | 741 |
| 36.07 | 834 |
| 38.04 | 248 |
| 45.11 | 282 |
| 59.07 | 384 |

Crystal structure
```
Y4CdTe
1.0
8.640 0.000 0.000
0.000 4.020 0.000
0.000 0.000 19.887
Y Cd Te
16 4 4
direct
0.020 0.250 0.070
0.045 0.250 0.786
0.126 0.250 0.337
0.135 0.250 0.559
0.365 0.750 0.059
0.374 0.750 0.837
0.455 0.750 0.286
0.480 0.750 0.570
0.520 0.250 0.430
0.545 0.250 0.714
0.626 0.250 0.163
0.635 0.250 0.941
0.865 0.750 0.441
0.874 0.750 0.663
0.955 0.750 0.214
0.980 0.750 0.930
0.239 0.750 0.686
0.261 0.250 0.186
0.739 0.750 0.814
0.761 0.250 0.314
0.242 0.750 0.446
0.258 0.250 0.946
0.742 0.750 0.054
0.758 0.250 0.554
```

=====

# Rb2TlSnAs2
Computed X-ray powder pattern, CuKα. Input: a cell relaxed with PBE.

Most intense lines, 15 to 90 degrees two-theta, low angle first:
| Position (°2θ) | I/Imax |
| --- | --- |
| 25.70 | 652 |
| 27.08 | 552 |
| 28.74 | 609 |
| 32.84 | 570 |
| 33.69 | 1000 |
| 33.96 | 544 |
| 35.74 | 333 |
| 49.51 | 215 |

Crystal structure
```
Rb2TlSnAs2
1.0
-3.887 7.652 3.648
3.887 -7.652 3.648
3.887 7.652 -3.648
Rb Tl Sn As
4 2 2 4
direct
0.175 0.246 0.420
0.325 0.746 0.071
0.675 0.254 0.929
0.825 0.754 0.580
0.250 0.750 0.500
0.750 0.250 0.500
0.250 0.250 0.000
0.750 0.750 0.000
0.090 0.786 0.876
0.410 0.286 0.697
0.590 0.714 0.303
0.910 0.214 0.124
```

=====

# YTm2Ru2
Computed X-ray powder pattern, CuKα. Input: a cell relaxed with PBE.

Most intense lines, 15 to 90 degrees two-theta, low angle first:
| Position (°2θ) | I/Imax |
| --- | --- |
| 17.70 | 202 |
| 29.54 | 117 |
| 34.65 | 353 |
| 37.96 | 1000 |
| 40.10 | 172 |
| 41.27 | 159 |
| 64.32 | 120 |
| 67.98 | 182 |

Crystal structure
```
YTm2Ru2
1.0
1.696 -10.020 0.000
1.696 10.020 0.000
0.000 0.000 3.363
Y Tm Ru
1 2 2
direct
0.000 0.000 0.000
0.167 0.833 0.000
0.833 0.167 0.000
0.409 0.591 0.500
0.591 0.409 0.500
```

=====

# Li2CePN4
Computed X-ray powder pattern, CuKα. Input: a cell relaxed with PBE.

Most intense lines, 15 to 90 degrees two-theta, low angle first:
| Position (°2θ) | I/Imax |
| --- | --- |
| 22.04 | 715 |
| 24.06 | 1000 |
| 28.19 | 252 |
| 34.28 | 278 |
| 37.39 | 733 |
| 41.13 | 488 |
| 44.96 | 358 |
| 63.44 | 307 |

Crystal structure
```
Li2CePN4
1.0
-2.616 2.616 3.165
2.616 -2.616 3.165
2.616 2.616 -3.165
Li Ce P N
2 1 1 4
direct
0.250 0.750 0.500
0.750 0.250 0.500
0.000 0.000 0.000
0.500 0.500 0.000
0.170 0.170 0.627
0.456 0.830 0.000
0.544 0.544 0.373
0.830 0.456 0.000
```

=====

# Ti4VBi
Computed X-ray powder pattern, CuKα. Input: a cell relaxed with PBE.

Most intense lines, 15 to 90 degrees two-theta, low angle first:
| Position (°2θ) | I/Imax |
| --- | --- |
| 19.96 | 197 |
| 25.71 | 200 |
| 27.62 | 364 |
| 32.76 | 335 |
| 36.67 | 672 |
| 40.02 | 1000 |
| 52.84 | 225 |
| 68.29 | 389 |

Crystal structure
```
Ti4VBi
1.0
3.465 0.000 0.000
0.000 3.465 0.000
0.000 0.000 8.896
Ti V Bi
4 1 1
direct
0.000 0.000 0.149
0.000 0.000 0.851
0.500 0.500 0.316
0.500 0.500 0.684
0.500 0.500 0.000
0.000 0.000 0.500
```

=====

# RbPm2Tl
Computed X-ray powder pattern, CuKα. Input: a cell relaxed with PBE.

Most intense lines, 15 to 90 degrees two-theta, low angle first:
| Position (°2θ) | I/Imax |
| --- | --- |
| 27.27 | 827 |
| 29.34 | 846 |
| 32.86 | 704 |
| 35.84 | 1000 |
| 47.44 | 467 |
| 55.54 | 377 |
| 60.86 | 216 |
| 65.65 | 246 |

Crystal structure
```
RbPm2Tl
1.0
1.916 1.106 12.731
-1.916 1.106 12.731
0.000 -2.213 12.731
Rb Pm Tl
1 2 1
direct
0.000 0.000 0.000
0.104 0.104 0.104
0.896 0.896 0.896
0.500 0.500 0.500
```

=====

# Mg8TlCd2
Computed X-ray powder pattern, CuKα. Input: a cell relaxed with PBE.

Most intense lines, 15 to 90 degrees two-theta, low angle first:
| Position (°2θ) | I/Imax |
| --- | --- |
| 18.48 | 691 |
| 22.86 | 890 |
| 23.40 | 723 |
| 24.02 | 574 |
| 26.91 | 1000 |
| 33.69 | 505 |
| 36.33 | 391 |
| 38.10 | 648 |

Crystal structure
```
Mg8TlCd2
1.0
4.093 -6.645 0.000
4.093 6.645 0.000
-2.255 0.000 4.800
Mg Tl Cd
8 1 2
direct
0.095 0.326 0.624
0.222 0.778 0.000
0.326 0.095 0.624
0.401 0.401 0.190
0.599 0.599 0.810
0.674 0.905 0.376
0.778 0.222 0.000
0.905 0.674 0.376
0.000 0.000 0.000
0.305 0.695 0.500
0.695 0.305 0.500
```

=====

# Pm8Zn2Hg
Computed X-ray powder pattern, CuKα. Input: a cell relaxed with PBE.

Most intense lines, 15 to 90 degrees two-theta, low angle first:
| Position (°2θ) | I/Imax |
| --- | --- |
| 28.73 | 274 |
| 30.02 | 753 |
| 30.38 | 1000 |
| 32.72 | 723 |
| 34.77 | 711 |
| 34.91 | 299 |
| 41.60 | 235 |
| 55.31 | 232 |

Crystal structure
```
Pm8Zn2Hg
1.0
9.124 -2.580 0.000
9.124 2.580 0.000
-2.290 0.000 6.971
Pm Zn Hg
8 2 1
direct
0.030 0.030 0.263
0.195 0.195 0.810
0.329 0.329 0.532
0.409 0.409 0.036
0.591 0.591 0.964
0.671 0.671 0.468
0.805 0.805 0.190
0.970 0.970 0.737
0.186 0.186 0.204
0.814 0.814 0.796
0.500 0.500 0.500
```

=====

# LiNi5Pt6
Computed X-ray powder pattern, CuKα. Input: a cell relaxed with PBE.

Most intense lines, 15 to 90 degrees two-theta, low angle first:
| Position (°2θ) | I/Imax |
| --- | --- |
| 24.63 | 292 |
| 32.84 | 286 |
| 41.48 | 1000 |
| 46.99 | 175 |
| 47.27 | 172 |
| 50.51 | 141 |
| 83.49 | 132 |
| 83.91 | 131 |

Crystal structure
```
LiNi5Pt6
1.0
-1.934 3.614 5.769
1.934 -3.614 5.769
1.934 3.614 -5.769
Li Ni Pt
1 5 6
direct
0.000 0.000 0.000
0.167 0.667 0.500
0.334 0.334 0.000
0.500 0.000 0.500
0.666 0.666 0.000
0.833 0.333 0.500
0.083 0.833 0.249
0.251 0.500 0.751
0.416 0.167 0.249
0.584 0.833 0.751
0.749 0.500 0.249
0.917 0.167 0.751
```

=====

# Sr2InPb2
Computed X-ray powder pattern, CuKα. Input: a cell relaxed with PBE.

Most intense lines, 15 to 90 degrees two-theta, low angle first:
| Position (°2θ) | I/Imax |
| --- | --- |
| 17.26 | 507 |
| 20.30 | 309 |
| 28.34 | 510 |
| 30.76 | 353 |
| 32.02 | 290 |
| 32.63 | 1000 |
| 41.24 | 386 |
| 55.10 | 377 |

Crystal structure
```
Sr2InPb2
1.0
-2.417 3.524 5.139
2.417 -3.524 5.139
2.417 3.524 -5.139
Sr In Pb
2 1 2
direct
0.210 0.210 0.000
0.790 0.790 0.000
0.500 0.000 0.500
0.228 0.500 0.728
0.772 0.500 0.272
```

=====

# ZrTeAu2
Computed X-ray powder pattern, CuKα. Input: a cell relaxed with PBE.

Most intense lines, 15 to 90 degrees two-theta, low angle first:
| Position (°2θ) | I/Imax |
| --- | --- |
| 22.35 | 190 |
| 31.81 | 1000 |
| 35.40 | 818 |
| 45.61 | 371 |
| 48.33 | 684 |
| 68.63 | 241 |
| 70.39 | 205 |
| 87.99 | 238 |

Crystal structure
```
ZrTeAu2
1.0
-3.978 3.978 2.840
3.978 -3.978 2.840
3.978 3.978 -2.840
Zr Te Au
2 2 4
direct
0.000 0.000 0.000
0.750 0.250 0.500
0.250 0.750 0.500
0.500 0.500 0.000
0.123 0.625 0.998
0.375 0.373 0.498
0.627 0.125 0.002
0.875 0.877 0.502
```

=====

# LaPd2Au10
Computed X-ray powder pattern, CuKα. Input: a cell relaxed with PBE.

Most intense lines, 15 to 90 degrees two-theta, low angle first:
| Position (°2θ) | I/Imax |
| --- | --- |
| 32.57 | 749 |
| 37.11 | 959 |
| 37.32 | 769 |
| 38.12 | 948 |
| 38.41 | 862 |
| 41.58 | 803 |
| 42.22 | 1000 |
| 68.22 | 497 |

Crystal structure
```
LaPd2Au10
1.0
0.000 6.559 6.804
2.822 0.000 6.804
2.822 6.559 0.000
La Pd Au
1 2 10
direct
0.000 0.000 0.000
0.000 0.000 0.500
0.500 0.500 0.000
0.000 0.500 0.000
0.008 0.656 0.344
0.285 0.503 0.497
0.344 0.992 0.008
0.497 0.715 0.285
0.500 0.000 0.500
0.503 0.285 0.715
0.656 0.008 0.992
0.715 0.497 0.503
0.992 0.344 0.656
```

=====

# HgAs2P6
Computed X-ray powder pattern, CuKα. Input: a cell relaxed with PBE.

Most intense lines, 15 to 90 degrees two-theta, low angle first:
| Position (°2θ) | I/Imax |
| --- | --- |
| 21.27 | 526 |
| 24.85 | 560 |
| 25.00 | 814 |
| 27.36 | 1000 |
| 28.87 | 729 |
| 34.80 | 515 |
| 35.02 | 819 |
| 51.66 | 804 |

Crystal structure
```
HgAs2P6
1.0
4.178 -4.993 0.000
4.178 4.993 0.000
-0.036 0.000 4.304
Hg As P
1 2 6
direct
0.000 0.000 0.000
0.313 0.687 0.500
0.687 0.313 0.500
0.075 0.406 0.842
0.391 0.391 0.147
0.406 0.075 0.842
0.594 0.925 0.158
0.609 0.609 0.853
0.925 0.594 0.158
```